Diffraction record for SrNdV4O12. The X-ray powder pattern is simulated, not measured: it uses DFT lattice parameters and positions (GGA+U) and Cu Kα (λ = 1.5418 Å).
Neutral-atom scattering factors, no anomalous dispersion.

Most intense lines, 2θ from 15° to 90°, in order of rising 2θ:
Position (°2θ)	I_rel	(hkl)
20.33	94	1 1 1
33.51	100	2 2 0
39.51	51	3 1 1
48.11	48	4 0 0
52.75	22	3 1 3
59.90	38	2 2 4
63.95	16	5 1 1
70.41	26	4 4 0
74.16	16	5 3 1
80.26	16	6 2 0

Atomic structure:
```
data_SrNdV4O12
_space_group_name_H-M_alt 'A m m 2'
_space_group_IT_number 38
_space_group_name_Hall 'A 2 -2'
_cell_length_a 7.5635
_cell_length_b 7.5642
_cell_length_c 7.5664
_cell_angle_alpha 90.00
_cell_angle_beta 90.00
_cell_angle_gamma 90.00
loop_
_atom_site_label
_atom_site_type_symbol
_atom_site_fract_x
_atom_site_fract_y
_atom_site_fract_z
_atom_site_occupancy
Sr1 Sr 0.0000 0.0000 0.0000 1
Nd1 Nd 0.5000 0.0000 0.5090 1
V1 V 0.2485 0.2499 0.2536 1
O1 O 0.0000 0.2351 0.2543 1
O2 O 0.2381 0.0000 0.7355 1
O3 O 0.2549 0.2386 0.0033 1
O4 O 0.2705 0.0000 0.2726 1
O5 O 0.5000 0.2320 0.7503 1
```